The following is a theoretical X-ray powder pattern of ThBr4. It was derived from DFT lattice parameters and positions (GGA-PBE), using Cu Kα (λ = 1.5418 Å).

Structural model:
a b c (Å): 9.029 9.029 8.255
angles (deg): 90.00 90.00 90.00
Space group I4_1/amd (No. 141, origin choice 2)
Symmetry-distinct sites (fractional):
Th  0.000  0.250  0.375 (multiplicity 4)
Br  0.000  0.064  0.695 (multiplicity 16)

Peak list (8 most intense, 2θ from 10° to 90°, by angle)
d = 6.093 Å, I = 100.0, (1 0 1)
d = 4.514 Å, I = 81.8, (2 0 0)
d = 3.046 Å, I = 38.9, (2 0 2)
d = 2.828 Å, I = 87.9, (3 0 1)
d = 2.632 Å, I = 62.1, (1 0 3)
d = 2.396 Å, I = 59.9, (3 2 1)
d = 2.348 Å, I = 64.3, (3 1 2)
d = 1.892 Å, I = 37.5, (3 3 2)

---

The following is a theoretical X-ray powder pattern of K4ZnP2. It was derived from DFT lattice parameters and positions (GGA-PBE), using Cu Kα (λ = 1.5418 Å).

Structural model:
a b c (Å): 5.6751 5.6751 26.3497
angles (deg): 90.00 90.00 120.00
Space group R-3m (No. 166, hexagonal axes)
Symmetry-distinct sites (fractional):
K  0.0000  0.0000  0.1144 (multiplicity 6)
K  0.0000  0.0000  0.2915 (multiplicity 6)
Zn  0.0000  0.0000  0.5000 (multiplicity 3)
P  0.0000  0.0000  0.4155 (multiplicity 6)

Peak list (8 most intense, 2θ from 10° to 90°, by angle)
d = 8.783 Å, I = 17.2, (0 0 3)
d = 4.831 Å, I = 32.4, (1 0 1)
d = 3.594 Å, I = 61.5, (0 1 5)
d = 2.838 Å, I = 100.0, (1 1 0)
d = 2.322 Å, I = 31.8, (1 0 10)
d = 2.227 Å, I = 15.5, (2 0 5)
d = 1.638 Å, I = 16.6, (3 0 0)
d = 1.518 Å, I = 14.8, (2 1 10)

---

The following is a theoretical X-ray powder pattern of Rb8Hg3Ge43. It was derived from DFT lattice parameters and positions (GGA-PBE), using Cu Kα (λ = 1.5418 Å).

Structural model:
a b c (Å): 15.7371 15.7371 19.2692
angles (deg): 90.00 90.00 120.00
Space group R32 (No. 155, hexagonal axes)
Symmetry-distinct sites (fractional):
Rb  0.0000  0.0000  0.2501 (multiplicity 6)
Rb  0.0000  0.2503  0.0000 (multiplicity 9)
Rb  0.0000  0.7503  0.5000 (multiplicity 9)
Hg  0.0000  0.2501  0.5000 (multiplicity 9)
Ge  0.0000  0.0000  0.0655 (multiplicity 6)
Ge  0.0000  0.0000  0.4325 (multiplicity 6)
Ge  0.0000  0.7502  0.0000 (multiplicity 9)
Ge  0.0235  0.1634  0.6100 (multiplicity 18)
Ge  0.0227  0.8593  0.1095 (multiplicity 18)
Ge  0.0624  0.2412  0.1876 (multiplicity 18)
Ge  0.0619  0.8202  0.6879 (multiplicity 18)
Ge  0.0882  0.5440  0.4781 (multiplicity 18)
Ge  0.0890  0.5444  0.9777 (multiplicity 18)

Peak list (8 most intense, 2θ from 10° to 90°, by angle)
d = 4.976 Å, I = 24.5, (1 1 3)
d = 3.212 Å, I = 41.3, (0 0 6)
d = 2.974 Å, I = 100.0, (2 3 2)
d = 2.782 Å, I = 17.9, (4 0 4)
d = 2.699 Å, I = 15.7, (3 1 5)
d = 1.908 Å, I = 48.7, (2 3 8)
d = 1.854 Å, I = 20.1, (6 0 6)
d = 1.805 Å, I = 49.1, (2 5 6)

---

The following is a theoretical X-ray powder pattern of ReSe2. It was derived from DFT lattice parameters and positions (GGA-PBE), using Cu Kα (λ = 1.5418 Å).

Structural model:
a b c (Å): 6.670 6.793 7.200
angles (deg): 91.83 104.15 118.81
Space group P-1 (No. 2)
Symmetry-distinct sites (fractional):
Re  0.013  0.209  0.003 (multiplicity 2)
Re  0.436  0.184  0.009 (multiplicity 2)
Se  0.226  0.843  0.755 (multiplicity 2)
Se  0.245  0.114  0.276 (multiplicity 2)
Se  0.251  0.634  0.182 (multiplicity 2)
Se  0.280  0.393  0.792 (multiplicity 2)

Peak list (8 most intense, 2θ from 10° to 90°, by angle)
d = 6.872 Å, I = 100.0, (0 0 1)
d = 2.929 Å, I = 6.8, (0 2 0)
d = 2.871 Å, I = 6.9, (2 -2 0)
d = 2.571 Å, I = 18.1, (2 0 -2)
d = 2.535 Å, I = 39.2, (2 -2 1)
d = 1.982 Å, I = 5.7, (0 2 -3)
d = 1.919 Å, I = 7.9, (-2 2 3)
d = 1.907 Å, I = 7.7, (2 0 2)